Record 1
Calculated powder diffractogram
Compound: Y2Tm2Se2S3
Radiation: CuKα
Structure: the GGA-PBE geometry in Alexandria
Neutral-atom scattering factors, no anomalous dispersion.

Peak list (10 most intense, 5 to 70 degrees two-theta, in order of falling intensity)
2theta  I_rel
33.9  100.0
26.8  69.5
34.3  62.7
35.1  42.0
48.7  35.2
12.1  33.7
49.6  30.5
24.4  26.0
60.9  23.7
42.2  23.4

Cell: 8.205 8.205 8.205 Å, 142.40 142.40 54.23°
Sites, in units of the cell vectors:
Y 0.201 0.201 0.000
Y 0.799 0.799 0.000
Tm 0.000 0.500 0.500
Tm 0.500 0.000 0.500
Se 0.397 0.397 0.000
Se 0.603 0.603 0.000
S 0.000 0.000 0.000
S 0.250 0.750 0.500
S 0.750 0.250 0.500

***

Record 2
Calculated powder diffractogram
Compound: Nd3SiPd3
Radiation: CuKα
Structure: the GGA-PBE geometry in Alexandria
Neutral-atom scattering factors, no anomalous dispersion.

Peak list (10 most intense, 5 to 70 degrees two-theta, in order of falling intensity)
2theta  I_rel
32.0  100.0
39.0  77.5
33.1  65.8
37.1  48.8
31.4  47.2
44.0  41.9
33.2  36.8
40.5  24.7
27.6  24.0
64.4  23.4

Cell: 5.783 5.783 15.272 Å, 106.47 106.47 41.67°
Sites, in units of the cell vectors:
Nd 0.018 0.018 0.386
Nd 0.103 0.103 0.922
Nd 0.243 0.243 0.234
Nd 0.757 0.757 0.766
Nd 0.897 0.897 0.078
Nd 0.982 0.982 0.614
Si 0.263 0.263 0.614
Si 0.737 0.737 0.386
Pd 0.329 0.329 0.466
Pd 0.382 0.382 0.924
Pd 0.467 0.467 0.762
Pd 0.533 0.533 0.238
Pd 0.618 0.618 0.076
Pd 0.671 0.671 0.534

***

Record 3
Calculated powder diffractogram
Compound: CsGa11
Radiation: CuKα
Structure: the GGA-PBE geometry in Alexandria
Neutral-atom scattering factors, no anomalous dispersion.

Peak list (10 most intense, 5 to 70 degrees two-theta, in order of falling intensity)
2theta  I_rel
33.9  100.0
34.1  73.5
40.1  68.0
41.9  37.2
29.8  36.6
36.7  32.9
60.9  30.0
39.9  19.6
38.9  17.4
53.5  13.9

Cell: 9.134 9.134 9.134 Å, 99.74 99.74 131.44°
Sites, in units of the cell vectors:
Cs 0.375 0.625 0.750
Cs 0.625 0.375 0.250
Ga 0.000 0.000 0.000
Ga 0.000 0.000 0.500
Ga 0.000 0.500 0.000
Ga 0.125 0.875 0.250
Ga 0.134 0.554 0.330
Ga 0.134 0.804 0.580
Ga 0.196 0.276 0.330
Ga 0.196 0.866 0.920
Ga 0.276 0.196 0.830
Ga 0.276 0.446 0.080
Ga 0.446 0.276 0.580
Ga 0.446 0.866 0.170
Ga 0.500 0.000 0.500
Ga 0.554 0.134 0.830
Ga 0.554 0.724 0.420
Ga 0.724 0.554 0.920
Ga 0.724 0.804 0.170
Ga 0.804 0.134 0.080
Ga 0.804 0.724 0.670
Ga 0.866 0.196 0.420
Ga 0.866 0.446 0.670
Ga 0.875 0.125 0.750

***

Record 4
Calculated powder diffractogram
Compound: ErSiBOs2
Radiation: CuKα
Structure: the GGA-PBE geometry in Alexandria
Neutral-atom scattering factors, no anomalous dispersion.

Peak list (10 most intense, 5 to 70 degrees two-theta, in order of falling intensity)
2theta  I_rel
33.1  100.0
34.8  72.9
41.3  45.2
29.8  38.7
34.7  38.3
27.0  34.5
45.2  33.0
45.8  32.5
61.8  27.7
63.4  25.9

Cell: 5.893 5.893 7.134 Å, 90.00 90.00 140.73°
Sites, in units of the cell vectors:
Er 0.048 0.952 0.750
Er 0.952 0.048 0.250
Si 0.231 0.769 0.250
Si 0.769 0.231 0.750
B 0.500 0.500 0.000
B 0.500 0.500 0.500
Os 0.328 0.672 0.563
Os 0.328 0.672 0.937
Os 0.672 0.328 0.063
Os 0.672 0.328 0.437

***

Record 5
Calculated powder diffractogram
Compound: Ce2C3
Radiation: CuKα
Structure: the GGA-PBE geometry in Alexandria
Neutral-atom scattering factors, no anomalous dispersion.

Peak list (10 most intense, 5 to 70 degrees two-theta, in order of falling intensity)
2theta  I_rel
30.1  100.0
33.7  96.2
55.8  62.7
40.1  49.0
26.0  42.6
51.0  28.3
60.3  27.9
53.4  14.9
68.9  10.8
43.0  8.0

Cell: 7.280 7.280 7.280 Å, 109.47 109.47 109.47°
Sites, in units of the cell vectors:
Ce 0.000 0.099 0.500
Ce 0.000 0.599 0.500
Ce 0.099 0.500 0.000
Ce 0.401 0.401 0.401
Ce 0.500 0.000 0.099
Ce 0.500 0.000 0.599
Ce 0.599 0.500 0.000
Ce 0.901 0.901 0.901
C 0.043 0.793 0.250
C 0.207 0.957 0.250
C 0.250 0.043 0.793
C 0.250 0.207 0.957
C 0.293 0.543 0.750
C 0.457 0.707 0.750
C 0.543 0.750 0.293
C 0.707 0.750 0.457
C 0.750 0.293 0.543
C 0.750 0.457 0.707
C 0.793 0.250 0.043
C 0.957 0.250 0.207

***

Record 6
Calculated powder diffractogram
Compound: Dy3Tm4Sc3
Radiation: CuKα
Structure: the GGA-PBE geometry in Alexandria
Neutral-atom scattering factors, no anomalous dispersion.

Peak list (10 most intense, 5 to 70 degrees two-theta, in order of falling intensity)
2theta  I_rel
33.4  100.0
33.5  90.6
31.3  77.1
31.5  75.4
24.9  49.6
31.9  47.8
58.2  38.6
40.4  34.7
40.5  30.2
22.1  28.5

Cell: 3.581 9.009 9.009 Å, 89.50 90.00 90.00°
Sites, in units of the cell vectors:
Dy 0.000 0.000 0.000
Dy 0.500 0.332 0.828
Dy 0.500 0.828 0.332
Tm 0.500 0.208 0.208
Tm 0.500 0.459 0.459
Tm 0.500 0.694 0.953
Tm 0.500 0.953 0.694
Sc 0.000 0.161 0.501
Sc 0.000 0.501 0.161
Sc 0.000 0.659 0.659

***

Record 7
Calculated powder diffractogram
Compound: Hf4TiRh3
Radiation: CuKα
Structure: the GGA-PBE geometry in Alexandria
Neutral-atom scattering factors, no anomalous dispersion.

Peak list (10 most intense, 5 to 70 degrees two-theta, in order of falling intensity)
2theta  I_rel
38.6  100.0
39.2  19.3
69.9  13.4
56.2  13.3
27.3  9.8
55.2  7.1
69.8  7.0
69.4  7.0
26.8  5.1
9.5  3.3

Cell: 3.327 4.599 9.311 Å, 90.00 90.00 90.00°
Sites, in units of the cell vectors:
Hf 0.000 0.000 0.000
Hf 0.000 0.000 0.500
Hf 0.000 0.500 0.243
Hf 0.000 0.500 0.757
Ti 0.500 0.500 0.500
Rh 0.500 0.000 0.243
Rh 0.500 0.000 0.757
Rh 0.500 0.500 0.000

***

Record 8
Calculated powder diffractogram
Compound: Cs9Rb6H
Radiation: CuKα
Structure: the GGA-PBE geometry in Alexandria
Neutral-atom scattering factors, no anomalous dispersion.

Peak list (10 most intense, 5 to 70 degrees two-theta, in order of falling intensity)
2theta  I_rel
20.8  100.0
24.0  35.2
40.4  31.1
34.3  26.2
24.2  17.3
40.6  15.4
34.2  15.1
42.3  13.4
54.1  11.7
55.5  10.8

Cell: 13.809 13.809 13.809 Å, 129.82 129.82 73.70°
Sites, in units of the cell vectors:
Cs 0.000 0.000 0.000
Cs 0.063 0.464 0.200
Cs 0.137 0.937 0.401
Cs 0.264 0.863 0.800
Cs 0.464 0.264 0.401
Cs 0.536 0.736 0.599
Cs 0.736 0.137 0.200
Cs 0.863 0.063 0.599
Cs 0.937 0.536 0.800
Rb 0.235 0.421 0.656
Rb 0.352 0.352 0.000
Rb 0.421 0.765 0.186
Rb 0.579 0.235 0.814
Rb 0.648 0.648 0.000
Rb 0.765 0.579 0.344
H 0.500 0.500 0.000

***

Record 9
Calculated powder diffractogram
Compound: K2PtC4N4Cl2
Radiation: CuKα
Structure: the GGA-PBE geometry in Alexandria
Neutral-atom scattering factors, no anomalous dispersion.

Peak list (10 most intense, 5 to 70 degrees two-theta, in order of falling intensity)
2theta  I_rel
14.2  100.0
17.0  75.3
21.1  39.0
22.8  33.2
12.8  32.9
28.5  21.1
38.2  19.5
21.3  19.4
30.4  19.2
21.5  19.1

Cell: 7.212 9.430 8.689 Å, 90.00 106.60 90.00°
Sites, in units of the cell vectors:
K 0.008 0.218 0.123
K 0.008 0.282 0.623
K 0.992 0.718 0.377
K 0.992 0.782 0.877
Pt 0.500 0.000 0.500
Pt 0.500 0.500 0.000
C 0.298 0.542 0.113
C 0.298 0.958 0.613
C 0.305 0.551 0.790
C 0.305 0.949 0.290
C 0.695 0.051 0.710
C 0.695 0.449 0.210
C 0.702 0.042 0.387
C 0.702 0.458 0.887
N 0.175 0.567 0.173
N 0.175 0.933 0.673
N 0.185 0.579 0.672
N 0.185 0.921 0.172
N 0.815 0.079 0.828
N 0.815 0.421 0.328
N 0.825 0.067 0.327
N 0.825 0.433 0.827
Cl 0.387 0.238 0.463
Cl 0.387 0.262 0.963
Cl 0.613 0.738 0.037
Cl 0.613 0.762 0.537